Starting from a DFT-relaxed cell (PBE, Alexandria), the PXRD pattern of La3Dy4Tl2 was calculated for copper Kα.
No peak broadening, texture or thermal motion is included.

Most intense lines, 10° ≤ 2θ ≤ 90°, in order of rising 2θ:
2θ 28.40, d = 3.143 Å, I 57
2θ 30.15, d = 2.964 Å, I 61
2θ 30.85, d = 2.899 Å, I 40
2θ 31.67, d = 2.826 Å, I 92
2θ 32.53, d = 2.753 Å, I 77
2θ 32.71, d = 2.738 Å, I 90
2θ 32.95, d = 2.718 Å, I 100
2θ 33.15, d = 2.703 Å, I 89
2θ 50.57, d = 1.805 Å, I 37
2θ 51.28, d = 1.781 Å, I 44

Structural model:
a = 9.5497 Å, b = 9.5497 Å, c = 6.5477 Å
α = 97.44°, β = 97.44°, γ = 83.65°
Fractional coordinates of all 18 atoms:
La: 0.0296 0.9704 0.7500
La: 0.3329 0.4600 0.9234
La: 0.4600 0.3329 0.4234
La: 0.5400 0.6671 0.5766
La: 0.6671 0.5400 0.0766
La: 0.9704 0.0296 0.2500
Dy: 0.0145 0.3458 0.0900
Dy: 0.1874 0.6393 0.4271
Dy: 0.3458 0.0145 0.5900
Dy: 0.3607 0.8126 0.0729
Dy: 0.6393 0.1874 0.9271
Dy: 0.6542 0.9855 0.4100
Dy: 0.8126 0.3607 0.5729
Dy: 0.9855 0.6542 0.9100
Tl: 0.1293 0.3022 0.5676
Tl: 0.3022 0.1293 0.0676
Tl: 0.6978 0.8707 0.9324
Tl: 0.8707 0.6978 0.4324

***

Starting from a DFT-relaxed cell (PBE, Alexandria), the PXRD pattern of SmTh4As6 was calculated for copper Kα.
No peak broadening, texture or thermal motion is included.

Most intense lines, 10° ≤ 2θ ≤ 90°, in order of rising 2θ:
2θ 23.87, d = 3.728 Å, I 61
2θ 26.29, d = 3.390 Å, I 100
2θ 30.31, d = 2.949 Å, I 62
2θ 32.34, d = 2.769 Å, I 72
2θ 34.04, d = 2.634 Å, I 72
2θ 35.80, d = 2.508 Å, I 67
2θ 46.18, d = 1.966 Å, I 22
2θ 46.33, d = 1.960 Å, I 70
2θ 65.53, d = 1.424 Å, I 22
2θ 69.74, d = 1.348 Å, I 34

Structural model:
a = 8.3222 Å, b = 8.3222 Å, c = 8.3222 Å
α = 89.75°, β = 89.75°, γ = 89.75°
Fractional coordinates of all 22 atoms:
Sm: 0.0000 0.0000 0.0000
Sm: 0.5000 0.5000 0.5000
Th: 0.1348 0.7500 0.3651
Th: 0.2500 0.2500 0.2500
Th: 0.2500 0.6348 0.8652
Th: 0.3651 0.1348 0.7500
Th: 0.6348 0.8652 0.2500
Th: 0.7500 0.3652 0.1348
Th: 0.7500 0.7500 0.7500
Th: 0.8652 0.2500 0.6348
As: 0.0641 0.9155 0.6744
As: 0.0845 0.3256 0.9359
As: 0.1744 0.4155 0.5641
As: 0.3256 0.9359 0.0845
As: 0.4155 0.5641 0.1744
As: 0.4359 0.8256 0.5845
As: 0.5641 0.1744 0.4155
As: 0.5845 0.4359 0.8256
As: 0.6744 0.0641 0.9155
As: 0.8256 0.5845 0.4359
As: 0.9155 0.6744 0.0641
As: 0.9359 0.0845 0.3256